# Li2MgGe2
Computed X-ray diffraction stick pattern, Cu Kα (weighted mean of Kα1 and Kα2). Input: DFT lattice parameters and positions (PBE).
No peak broadening, texture or thermal motion is included.

Top 12 peaks for 2θ from 5° to 70°, low angle first:
- 2θ = 23.45°, intensity 89
- 2θ = 23.61°, intensity 85
- 2θ = 28.03°, intensity 31
- 2θ = 30.07°, intensity 13
- 2θ = 38.56°, intensity 100
- 2θ = 41.32°, intensity 25
- 2θ = 41.59°, intensity 23
- 2θ = 44.16°, intensity 14
- 2θ = 47.97°, intensity 13
- 2θ = 48.30°, intensity 25
- 2θ = 51.94°, intensity 27
- 2θ = 52.13°, intensity 32

Cell and atoms:
Cell: 4.3706 4.3706 5.9430 Å, 90.00 90.00 120.42°
Fractional coordinates of all 5 atoms:
Li (0.1661, 0.8339, 0.0000)
Li (0.8339, 0.1661, 0.0000)
Mg (0.0000, 0.0000, 0.5000)
Ge (0.5000, 0.5000, 0.2046)
Ge (0.5000, 0.5000, 0.7954)